LaSi2Tc: computed XRD peak list (Cu Kα (λ = 1.5418 Å)), based on DFT lattice parameters and positions (PBE).

```
data_LaSi2Tc
_chemical_formula_sum 'La4 Si8 Tc4'
_symmetry_space_group_name_H-M 'P n m a'
_symmetry_Int_Tables_number 62
_cell_length_a 7.397
_cell_length_b 4.032
_cell_length_c 10.426
_cell_angle_alpha 90.00
_cell_angle_beta 90.00
_cell_angle_gamma 90.00
loop_
_symmetry_equiv_pos_as_xyz
'x,y,z'
'-x,-y,-z'
'-x+1/2,-y,z+1/2'
'x+1/2,y,-z+1/2'
'x+1/2,-y+1/2,-z+1/2'
'-x+1/2,y+1/2,z+1/2'
'-x,y+1/2,-z'
'x,-y+1/2,z'
loop_
_atom_site_label
_atom_site_type_symbol
_atom_site_fract_x
_atom_site_fract_y
_atom_site_fract_z
La1 La 0.145 0.250 0.125
Si1 Si 0.164 0.250 0.812
Si2 Si 0.192 0.250 0.423
Tc1 Tc 0.007 0.750 0.392
```

Largest 10 diffraction maxima, low angle first, 2θ from 15° to 90°:
(hkl), 2θ/deg, d/Å, intensity
1 1 1, 26.6, 3.352, 23
1 1 2, 30.5, 2.929, 100
2 1 0, 32.9, 2.726, 44
2 1 1, 34.0, 2.636, 23
0 0 4, 34.4, 2.606, 39
2 0 3, 35.4, 2.533, 21
1 1 3, 36.2, 2.480, 26
3 0 1, 37.5, 2.399, 26
2 1 3, 42.1, 2.145, 30
0 2 0, 45.0, 2.016, 28

---

Sm4Ag3: computed XRD peak list (Cu Kα (λ = 1.5418 Å)), based on DFT lattice parameters and positions (PBE).

```
data_Sm4Ag3
_chemical_formula_sum 'Sm24 Ag18'
_symmetry_space_group_name_H-M 'R -3'
_symmetry_Int_Tables_number 148
_symmetry_space_group_name_Hall '-R 3'
_cell_length_a 14.0711
_cell_length_b 14.0711
_cell_length_c 6.5135
_cell_angle_alpha 90.00
_cell_angle_beta 90.00
_cell_angle_gamma 120.00
loop_
_atom_site_label
_atom_site_type_symbol
_atom_site_fract_x
_atom_site_fract_y
_atom_site_fract_z
Sm1 Sm 0.0000 0.0000 0.0000
Sm2 Sm 0.0000 0.0000 0.5000
Sm3 Sm 0.0505 0.2491 0.1720
Ag1 Ag 0.0486 0.2293 0.6894
```

Largest 10 diffraction maxima, low angle first, 2θ from 15° to 90°:
(hkl), 2θ/deg, d/Å, intensity
2 1 1, 23.7, 3.761, 2
4 -3 1, 29.8, 3.000, 1
1 4 0, 33.7, 2.659, 100
4 2 2, 48.4, 1.880, 17
8 -5 1, 54.6, 1.682, 2
6 3 0, 60.3, 1.535, 33
7 -5 3, 64.2, 1.451, 1
2 8 0, 70.9, 1.330, 10
3 -2 5, 75.9, 1.254, 1
5 6 2, 80.8, 1.189, 13

---

SmDy2Tm4Th: computed XRD peak list (Cu Kα (λ = 1.5418 Å)), based on DFT lattice parameters and positions (PBE).

```
data_SmDy2Tm4Th
_chemical_formula_sum 'Sm1 Dy2 Tm4 Th1'
_symmetry_space_group_name_H-M 'P 1 2/m 1'
_symmetry_Int_Tables_number 10
_cell_length_a 5.024
_cell_length_b 5.036
_cell_length_c 9.864
_cell_angle_alpha 90.00
_cell_angle_beta 90.05
_cell_angle_gamma 90.00
loop_
_symmetry_equiv_pos_as_xyz
'x,y,z'
'-x,-y,-z'
'-x,y,-z'
'x,-y,z'
loop_
_atom_site_label
_atom_site_type_symbol
_atom_site_fract_x
_atom_site_fract_y
_atom_site_fract_z
Sm1 Sm 0.000 0.000 0.000
Dy1 Dy 0.000 0.000 0.500
Dy2 Dy 0.500 0.500 0.000
Tm1 Tm 0.000 0.500 0.253
Tm2 Tm 0.500 0.000 0.253
Th1 Th 0.500 0.500 0.500
```

Largest 10 diffraction maxima, low angle first, 2θ from 15° to 90°:
(hkl), 2θ/deg, d/Å, intensity
1 1 2, 31.0, 2.885, 100
2 0 0, 35.7, 2.515, 34
0 0 4, 36.4, 2.466, 16
2 2 0, 51.4, 1.778, 12
2 0 4, 51.9, 1.761, 24
1 3 2, 61.2, 1.515, 15
3 1 2, 61.3, 1.513, 15
1 1 6, 62.2, 1.492, 14
2 2 4, 64.6, 1.442, 12
3 3 2, 83.9, 1.153, 6

---

Nd6P3Cl2: computed XRD peak list (Cu Kα (λ = 1.5418 Å)), based on DFT lattice parameters and positions (PBE).

```
data_Nd6P3Cl2
_chemical_formula_sum 'Nd12 P6 Cl4'
_symmetry_space_group_name_H-M 'C 1 2/m 1'
_symmetry_Int_Tables_number 12
_cell_length_a 7.154
_cell_length_b 12.351
_cell_length_c 7.165
_cell_angle_alpha 90.00
_cell_angle_beta 109.44
_cell_angle_gamma 90.00
loop_
_symmetry_equiv_pos_as_xyz
'x,y,z'
'-x,-y,-z'
'-x,y,-z'
'x,-y,z'
'x+1/2,y+1/2,z'
'-x+1/2,-y+1/2,-z'
'-x+1/2,y+1/2,-z'
'x+1/2,-y+1/2,z'
loop_
_atom_site_label
_atom_site_type_symbol
_atom_site_fract_x
_atom_site_fract_y
_atom_site_fract_z
Nd1 Nd 0.240 0.000 0.226
Nd2 Nd 0.246 0.334 0.231
P1 P 0.000 0.170 0.000
P2 P 0.000 0.500 0.000
Cl1 Cl 0.000 0.335 0.500
```

Largest 10 diffraction maxima, low angle first, 2θ from 15° to 90°:
(hkl), 2θ/deg, d/Å, intensity
2 0 0, 26.4, 3.375, 43
1 3 -1, 26.5, 3.366, 45
1 3 1, 30.6, 2.919, 100
3 3 -1, 43.8, 2.065, 59
0 6 0, 44.0, 2.058, 12
4 0 -2, 51.9, 1.761, 23
2 6 0, 52.0, 1.757, 14
4 0 0, 54.4, 1.688, 12
2 6 -2, 54.5, 1.683, 13
4 6 0, 72.4, 1.305, 15

---

Na2Pu2Cl2O5: computed XRD peak list (Cu Kα (λ = 1.5418 Å)), based on DFT lattice parameters and positions (PBE).

```
data_Na2Pu2Cl2O5
_chemical_formula_sum 'Na4 Pu4 Cl4 O10'
_symmetry_space_group_name_H-M 'I 4/m m m'
_symmetry_Int_Tables_number 139
_symmetry_space_group_name_Hall '-I 4 2'
_cell_length_a 4.165
_cell_length_b 4.165
_cell_length_c 24.190
_cell_angle_alpha 90.00
_cell_angle_beta 90.00
_cell_angle_gamma 90.00
loop_
_atom_site_label
_atom_site_type_symbol
_atom_site_fract_x
_atom_site_fract_y
_atom_site_fract_z
Na1 Na 0.000 0.000 0.175
Pu1 Pu 0.000 0.000 0.415
Cl1 Cl 0.000 0.000 0.299
O1 O 0.000 0.000 0.500
O2 O 0.000 0.500 0.096
```

Largest 10 diffraction maxima, low angle first, 2θ from 15° to 90°:
(hkl), 2θ/deg, d/Å, intensity
1 0 1, 21.7, 4.104, 100
0 0 6, 22.0, 4.032, 27
1 0 5, 28.3, 3.156, 39
1 1 0, 30.4, 2.945, 36
1 0 7, 33.7, 2.659, 35
1 1 6, 37.8, 2.378, 15
2 0 0, 43.5, 2.082, 21
2 1 1, 49.1, 1.857, 23
2 1 5, 52.7, 1.738, 15
2 1 7, 56.1, 1.640, 17

---

SmTmS3: computed XRD peak list (Cu Kα (λ = 1.5418 Å)), based on DFT lattice parameters and positions (PBE).

```
data_SmTmS3
_chemical_formula_sum 'Sm4 Tm4 S12'
_symmetry_space_group_name_H-M 'P n m a'
_symmetry_Int_Tables_number 62
_cell_length_a 7.331
_cell_length_b 3.931
_cell_length_c 15.230
_cell_angle_alpha 90.00
_cell_angle_beta 90.00
_cell_angle_gamma 90.00
loop_
_symmetry_equiv_pos_as_xyz
'x,y,z'
'-x,-y,-z'
'-x+1/2,-y,z+1/2'
'x+1/2,y,-z+1/2'
'x+1/2,-y+1/2,-z+1/2'
'-x+1/2,y+1/2,z+1/2'
'-x,y+1/2,-z'
'x,-y+1/2,z'
loop_
_atom_site_label
_atom_site_type_symbol
_atom_site_fract_x
_atom_site_fract_y
_atom_site_fract_z
Sm1 Sm 0.143 0.250 0.201
Tm1 Tm 0.230 0.750 0.457
S1 S 0.012 0.250 0.395
S2 S 0.124 0.750 0.062
S3 S 0.150 0.250 0.785
```

Largest 10 diffraction maxima, low angle first, 2θ from 15° to 90°:
(hkl), 2θ/deg, d/Å, intensity
0 0 4, 23.4, 3.807, 16
2 0 0, 24.3, 3.665, 17
2 0 1, 25.0, 3.564, 19
1 0 4, 26.4, 3.378, 100
0 1 3, 28.7, 3.108, 26
2 1 2, 35.5, 2.529, 36
0 1 5, 37.3, 2.408, 17
2 1 3, 38.0, 2.371, 18
1 1 5, 39.4, 2.288, 23
0 2 0, 46.2, 1.966, 17

---

TbPmSm4Se8: computed XRD peak list (Cu Kα (λ = 1.5418 Å)), based on DFT lattice parameters and positions (PBE).

```
data_TbPmSm4Se8
_chemical_formula_sum 'Tb3 Pm3 Sm12 Se24'
_symmetry_space_group_name_H-M 'R 3 m'
_symmetry_Int_Tables_number 160
_symmetry_space_group_name_Hall 'R 3 -2"'
_cell_length_a 8.5815
_cell_length_b 8.5815
_cell_length_c 21.0396
_cell_angle_alpha 90.00
_cell_angle_beta 90.00
_cell_angle_gamma 120.00
loop_
_atom_site_label
_atom_site_type_symbol
_atom_site_fract_x
_atom_site_fract_y
_atom_site_fract_z
Tb1 Tb 0.0000 0.0000 0.0000
Pm1 Pm 0.0000 0.0000 0.6261
Sm1 Sm 0.0000 0.0000 0.2504
Sm2 Sm 0.1674 0.3349 0.4584
Se1 Se 0.0000 0.0000 0.3832
Se2 Se 0.0000 0.0000 0.8693
Se3 Se 0.0141 0.5070 0.3777
Se4 Se 0.1766 0.3532 0.2056
```

Largest 10 diffraction maxima, low angle first, 2θ from 15° to 90°:
(hkl), 2θ/deg, d/Å, intensity
1 0 4, 20.7, 4.292, 27
0 2 1, 24.3, 3.660, 93
0 2 4, 29.4, 3.035, 49
0 2 7, 38.5, 2.336, 47
2 2 0, 42.1, 2.146, 100
4 0 7, 58.4, 1.580, 23
0 4 8, 61.1, 1.517, 16
0 0 15, 66.7, 1.402, 15
2 4 4, 69.2, 1.357, 15
6 0 0, 77.0, 1.239, 32

---

Pr3AgPb: computed XRD peak list (Cu Kα (λ = 1.5418 Å)), based on DFT lattice parameters and positions (PBE).

```
data_Pr3AgPb
_chemical_formula_sum 'Pr12 Ag4 Pb4'
_symmetry_space_group_name_H-M 'P 1 21/c 1'
_symmetry_Int_Tables_number 14
_cell_length_a 9.133
_cell_length_b 6.529
_cell_length_c 10.775
_cell_angle_alpha 90.00
_cell_angle_beta 106.75
_cell_angle_gamma 90.00
loop_
_symmetry_equiv_pos_as_xyz
'x,y,z'
'-x,-y,-z'
'-x,y+1/2,-z+1/2'
'x,-y+1/2,z+1/2'
loop_
_atom_site_label
_atom_site_type_symbol
_atom_site_fract_x
_atom_site_fract_y
_atom_site_fract_z
Pr1 Pr 0.001 0.012 0.175
Pr2 Pr 0.189 0.005 0.549
Pr3 Pr 0.416 0.737 0.854
Ag1 Ag 0.298 0.527 0.573
Pb1 Pb 0.343 0.241 0.837
```

Largest 10 diffraction maxima, low angle first, 2θ from 15° to 90°:
(hkl), 2θ/deg, d/Å, intensity
1 2 0, 29.2, 3.058, 98
2 0 2, 30.4, 2.943, 71
3 0 -2, 30.6, 2.925, 66
3 1 -1, 32.5, 2.758, 85
1 0 -4, 33.3, 2.694, 69
3 1 -2, 33.6, 2.670, 33
1 2 2, 35.6, 2.522, 100
2 2 -2, 35.7, 2.515, 97
0 4 0, 56.3, 1.633, 33
2 2 -6, 58.9, 1.567, 35

---

Rb2La10Co2I17: computed XRD peak list (Cu Kα (λ = 1.5418 Å)), based on DFT lattice parameters and positions (PBE).

```
data_Rb2La10Co2I17
_chemical_formula_sum 'Rb4 La20 Co4 I34'
_symmetry_space_group_name_H-M 'C 1 2/m 1'
_symmetry_Int_Tables_number 12
_cell_length_a 14.012
_cell_length_b 19.384
_cell_length_c 9.889
_cell_angle_alpha 90.00
_cell_angle_beta 94.77
_cell_angle_gamma 90.00
loop_
_symmetry_equiv_pos_as_xyz
'x,y,z'
'-x,-y,-z'
'-x,y,-z'
'x,-y,z'
'x+1/2,y+1/2,z'
'-x+1/2,-y+1/2,-z'
'-x+1/2,y+1/2,-z'
'x+1/2,-y+1/2,z'
loop_
_atom_site_label
_atom_site_type_symbol
_atom_site_fract_x
_atom_site_fract_y
_atom_site_fract_z
Rb1 Rb 0.000 0.190 0.000
La1 La 0.070 0.500 0.666
La2 La 0.140 0.347 0.432
La3 La 0.168 0.000 0.434
La4 La 0.201 0.500 0.200
Co1 Co 0.147 0.500 0.430
I1 I 0.000 0.500 0.000
I2 I 0.064 0.000 0.717
I3 I 0.071 0.328 0.736
I4 I 0.143 0.169 0.415
I5 I 0.217 0.000 0.124
I6 I 0.224 0.334 0.142
```

Largest 10 diffraction maxima, low angle first, 2θ from 15° to 90°:
(hkl), 2θ/deg, d/Å, intensity
3 3 -1, 24.7, 3.608, 29
0 6 0, 27.6, 3.231, 98
4 0 1, 27.8, 3.208, 100
2 0 -3, 29.1, 3.072, 80
4 6 1, 39.6, 2.276, 70
2 0 4, 39.8, 2.265, 30
2 6 -3, 40.5, 2.226, 56
6 0 -2, 41.5, 2.175, 28
2 6 4, 49.1, 1.855, 30
6 6 -2, 50.6, 1.804, 29

---

Li2Sm2YPb2: computed XRD peak list (Cu Kα (λ = 1.5418 Å)), based on DFT lattice parameters and positions (PBE).

```
data_Li2Sm2YPb2
_chemical_formula_sum 'Li6 Sm6 Y3 Pb6'
_symmetry_space_group_name_H-M 'R -3 m'
_symmetry_Int_Tables_number 166
_symmetry_space_group_name_Hall '-R 3 2"'
_cell_length_a 4.8414
_cell_length_b 4.8414
_cell_length_c 27.4793
_cell_angle_alpha 90.00
_cell_angle_beta 90.00
_cell_angle_gamma 120.00
loop_
_atom_site_label
_atom_site_type_symbol
_atom_site_fract_x
_atom_site_fract_y
_atom_site_fract_z
Li1 Li 0.0000 0.0000 0.1013
Sm1 Sm 0.0000 0.0000 0.3716
Y1 Y 0.0000 0.0000 0.5000
Pb1 Pb 0.0000 0.0000 0.2339
```

Largest 10 diffraction maxima, low angle first, 2θ from 15° to 90°:
(hkl), 2θ/deg, d/Å, intensity
1 0 1, 21.4, 4.145, 39
0 1 2, 22.2, 4.010, 56
0 1 5, 26.7, 3.333, 29
1 0 7, 31.2, 2.866, 87
0 1 8, 33.7, 2.657, 89
1 1 0, 37.1, 2.421, 100
0 2 7, 49.3, 1.849, 25
2 0 8, 51.0, 1.789, 28
1 1 15, 63.7, 1.461, 39
1 2 8, 64.8, 1.439, 27

---

NdGaCl4: computed XRD peak list (Cu Kα (λ = 1.5418 Å)), based on DFT lattice parameters and positions (PBE).

```
data_NdGaCl4
_chemical_formula_sum 'Nd4 Ga4 Cl16'
_symmetry_space_group_name_H-M 'P 1 21/c 1'
_symmetry_Int_Tables_number 14
_cell_length_a 10.902
_cell_length_b 7.425
_cell_length_c 10.405
_cell_angle_alpha 90.00
_cell_angle_beta 100.46
_cell_angle_gamma 90.00
loop_
_symmetry_equiv_pos_as_xyz
'x,y,z'
'-x,-y,-z'
'-x,y+1/2,-z+1/2'
'x,-y+1/2,z+1/2'
loop_
_atom_site_label
_atom_site_type_symbol
_atom_site_fract_x
_atom_site_fract_y
_atom_site_fract_z
Nd1 Nd 0.175 0.226 0.294
Ga1 Ga 0.424 0.741 0.598
Cl1 Cl 0.027 0.557 0.684
Cl2 Cl 0.172 0.122 0.550
Cl3 Cl 0.357 0.031 0.882
Cl4 Cl 0.373 0.502 0.799
```

Largest 10 diffraction maxima, low angle first, 2θ from 15° to 90°:
(hkl), 2θ/deg, d/Å, intensity
0 0 2, 17.3, 5.116, 31
1 0 -2, 17.8, 4.982, 31
2 1 0, 20.4, 4.346, 100
0 1 2, 21.1, 4.214, 60
1 1 -2, 21.5, 4.137, 42
3 0 -2, 27.7, 3.221, 32
1 0 -4, 34.5, 2.597, 29
3 2 0, 34.8, 2.575, 40
2 2 2, 35.8, 2.510, 57
3 2 -2, 37.0, 2.431, 43

---

Nd3Se2N2: computed XRD peak list (Cu Kα (λ = 1.5418 Å)), based on DFT lattice parameters and positions (PBE).

```
data_Nd3Se2N2
_chemical_formula_sum 'Nd6 Se4 N4'
_symmetry_space_group_name_H-M 'P 1 21/c 1'
_symmetry_Int_Tables_number 14
_cell_length_a 6.626
_cell_length_b 7.474
_cell_length_c 7.406
_cell_angle_alpha 90.00
_cell_angle_beta 116.37
_cell_angle_gamma 90.00
loop_
_symmetry_equiv_pos_as_xyz
'x,y,z'
'-x,-y,-z'
'-x,y+1/2,-z+1/2'
'x,-y+1/2,z+1/2'
loop_
_atom_site_label
_atom_site_type_symbol
_atom_site_fract_x
_atom_site_fract_y
_atom_site_fract_z
Nd1 Nd 0.000 0.000 0.000
Nd2 Nd 0.382 0.108 0.756
Se1 Se 0.184 0.658 0.912
N1 N 0.345 0.119 0.065
```

Largest 10 diffraction maxima, low angle first, 2θ from 15° to 90°:
(hkl), 2θ/deg, d/Å, intensity
1 0 -2, 24.2, 3.673, 24
1 1 -2, 27.0, 3.300, 52
0 2 1, 27.4, 3.256, 71
2 1 -1, 29.5, 3.029, 100
2 1 0, 32.5, 2.756, 50
1 2 1, 34.2, 2.622, 49
1 0 2, 36.4, 2.467, 35
1 1 -3, 38.5, 2.338, 42
2 3 0, 47.7, 1.907, 30
4 0 -2, 55.4, 1.658, 33